No. 1
Diffraction record for PmSbAs. The XRD peak list is simulated, not measured: it uses a cell relaxed with PBE and Cu Kα, 1.54184 Å.
Kinematic intensities with the Lorentz-polarization factor, no thermal factor.

Main lines, most intense first (10 to 90 degrees two-theta):
d = 3.070 Å, I 100
d = 2.995 Å, I 78
d = 2.760 Å, I 73
d = 2.538 Å, I 62
d = 2.053 Å, I 62
d = 2.144 Å, I 61
d = 1.956 Å, I 58
d = 1.265 Å, I 25
d = 1.423 Å, I 19
d = 3.912 Å, I 19

Structural model:
```
PmSbAs
1.0
3.0701 -3.2120 0.0000
3.0701 3.2120 0.0000
0.0000 0.0000 8.2813
Pm Sb As
2 2 2
Cartesian
3.0701 1.6060 6.8932 Pm
3.0701 -1.6060 1.3881 Pm
0.0000 0.0000 4.1407 Sb
3.0701 0.0000 4.1407 Sb
3.0701 1.6060 1.5476 As
3.0701 -1.6060 6.7337 As
```


No. 2
Diffraction record for Pm3Sb2As. The XRD peak list is simulated, not measured: it uses a cell relaxed with PBE and Cu Kα, 1.54184 Å.
Kinematic intensities with the Lorentz-polarization factor, no thermal factor.

Main lines, most intense first (10 to 90 degrees two-theta):
d = 3.118 Å, I 100
d = 2.206 Å, I 63
d = 1.394 Å, I 22
d = 1.798 Å, I 13
d = 1.802 Å, I 13
d = 2.200 Å, I 13
d = 1.559 Å, I 12
d = 1.272 Å, I 12
d = 1.274 Å, I 12
d = 1.392 Å, I 6

Structural model:
```
Pm3Sb2As
1.0
0.0000 6.2386 13.2000
4.4162 0.0000 13.2000
4.4162 6.2386 0.0000
Pm Sb As
12 8 4
Cartesian
3.2595 1.4900 7.6327 Pm
5.6406 4.6789 9.9000 Pm
3.3649 1.4900 12.1672 Pm
5.5730 4.6093 14.2327 Pm
7.8487 7.7982 16.4999 Pm
5.4676 4.6093 18.7672 Pm
3.3649 7.8679 7.6327 Pm
0.9837 4.6789 9.9000 Pm
3.2595 7.8679 12.1672 Pm
5.4676 10.9872 14.2327 Pm
3.1918 7.7982 16.4999 Pm
5.5730 10.9872 18.7672 Pm
3.3122 4.6789 3.3322 Sb
3.3122 4.6789 7.7430 Sb
5.5203 7.7982 9.9322 Sb
3.3122 4.6789 12.0569 Sb
5.5203 7.7982 14.3430 Sb
3.3122 4.6789 16.4677 Sb
5.5203 7.7982 18.6569 Sb
5.5203 7.7982 23.0677 Sb
1.1041 1.5596 1.0982 As
1.1041 1.5596 5.5018 As
7.7284 10.9175 20.8981 As
7.7284 10.9175 25.3018 As
```